Record 1
Starting from a DFT-relaxed cell (GGA-PBE, Alexandria), the powder XRD pattern of Na3Ag2Sb3 was computed for CuKα.
Intensities are scaled so that the largest is 100.

a b c (Å): 6.2599 6.2599 15.5657
angles (deg): 90.00 90.00 135.60
Fractional coordinates of all 16 atoms:
Na  0.0803  0.9197  0.6203
Na  0.0803  0.9197  0.8797
Na  0.3638  0.6362  0.7500
Na  0.6362  0.3638  0.2500
Na  0.9197  0.0803  0.1203
Na  0.9197  0.0803  0.3797
Ag  0.2107  0.7893  0.1015
Ag  0.2107  0.7893  0.3985
Ag  0.7893  0.2107  0.6015
Ag  0.7893  0.2107  0.8985
Sb  0.3416  0.6584  0.2500
Sb  0.3865  0.6135  0.5351
Sb  0.3865  0.6135  0.9649
Sb  0.6135  0.3865  0.0351
Sb  0.6135  0.3865  0.4649
Sb  0.6584  0.3416  0.7500

Peak list (10 most intense, 2θ from 10° to 90°, low angle first)
2θ (°)  I (rel.)
11.4  54
15.3  51
20.3  41
21.1  71
23.0  100
30.7  87
34.6  95
37.9  84
38.0  65
45.8  65

Record 2
Starting from a DFT-relaxed cell (GGA-PBE, Alexandria), the powder XRD pattern of Na2Ag4Sb5 was computed for CuKα.
Intensities are scaled so that the largest is 100.

a b c (Å): 7.4674 7.4674 7.4674
angles (deg): 131.27 105.23 94.46
Fractional coordinates of all 11 atoms:
Na  0.1847  0.0000  0.1847
Na  0.8153  0.0000  0.8153
Ag  0.0412  0.3089  0.7323
Ag  0.4234  0.6911  0.7323
Ag  0.5766  0.3089  0.2677
Ag  0.9588  0.6911  0.2677
Sb  0.0000  0.5000  0.5000
Sb  0.3469  0.0911  0.7443
Sb  0.3469  0.6026  0.2557
Sb  0.6531  0.3974  0.7443
Sb  0.6531  0.9089  0.2557

Peak list (10 most intense, 2θ from 10° to 90°, low angle first)
2θ (°)  I (rel.)
16.8  45
17.5  69
28.2  83
31.9  71
35.2  100
36.2  85
39.6  69
39.8  54
40.0  46
40.8  36

Record 3
Starting from a DFT-relaxed cell (GGA-PBE, Alexandria), the powder XRD pattern of Na5AgSb2 was computed for CuKα.
Intensities are scaled so that the largest is 100.

a b c (Å): 5.3990 5.3990 19.1911
angles (deg): 90.00 90.00 120.00
Fractional coordinates of all 16 atoms:
Na  0.0000  0.0000  0.1369
Na  0.0000  0.0000  0.3631
Na  0.0000  0.0000  0.6369
Na  0.0000  0.0000  0.8631
Na  0.3333  0.6667  0.0540
Na  0.3333  0.6667  0.2500
Na  0.3333  0.6667  0.4460
Na  0.6667  0.3333  0.5540
Na  0.6667  0.3333  0.7500
Na  0.6667  0.3333  0.9460
Ag  0.3333  0.6667  0.7500
Ag  0.6667  0.3333  0.2500
Sb  0.3333  0.6667  0.6119
Sb  0.3333  0.6667  0.8881
Sb  0.6667  0.3333  0.1119
Sb  0.6667  0.3333  0.3881

Peak list (10 most intense, 2θ from 10° to 90°, low angle first)
2θ (°)  I (rel.)
19.0  37
19.5  100
33.2  78
34.0  16
38.0  45
38.8  17
43.9  20
50.9  21
51.4  19
62.5  20

Record 4
Starting from a DFT-relaxed cell (GGA-PBE, Alexandria), the powder XRD pattern of Na2Ag2SbSe4 was computed for CuKα.
Intensities are scaled so that the largest is 100.

a b c (Å): 8.2131 8.2131 7.5424
angles (deg): 114.31 114.31 28.48
Fractional coordinates of all 9 atoms:
Na  0.1419  0.1419  0.0607
Na  0.8581  0.8581  0.9393
Ag  0.3175  0.3175  0.5353
Ag  0.6825  0.6825  0.4647
Sb  0.0000  0.0000  0.5000
Se  0.2003  0.2003  0.7198
Se  0.4978  0.4978  0.7715
Se  0.5022  0.5022  0.2285
Se  0.7997  0.7997  0.2802

Peak list (10 most intense, 2θ from 10° to 90°, low angle first)
2θ (°)  I (rel.)
13.0  100
25.0  22
28.2  24
32.9  27
33.4  58
35.0  45
37.4  24
44.6  36
44.9  29
46.5  30